The following is a calculated powder diffractogram of ZrHgPd5. It was derived from a cell relaxed with GGA-PBE, using Cu Kα (λ = 1.5418 Å).

The 10 most intense peaks (2θ from 10° to 90°), low angle first:
d_spacing	two_theta	I_rel
5.658	15.66	264
3.574	24.91	311
3.282	27.17	194
2.315	38.90	1000
2.305	39.08	990
2.014	45.00	330
1.994	45.49	638
1.417	65.92	415
1.206	79.51	242
1.201	79.84	241

Cell and atoms:
```
data_ZrHgPd5
_chemical_formula_sum 'Zr2 Hg2 Pd10'
_cell_length_a 5.6216
_cell_length_b 8.0576
_cell_length_c 5.6575
_cell_angle_alpha 90.00
_cell_angle_beta 90.00
_cell_angle_gamma 90.00
_space_group_name_H-M_alt 'C m m m'
_space_group_IT_number 65
_space_group_name_Hall '-C 2 2'
loop_
_atom_site_label
_atom_site_fract_x
_atom_site_fract_y
_atom_site_fract_z
Zr1 0.0000 0.0000 0.0000
Hg1 0.0000 0.5000 0.5000
Pd1 0.0000 0.0000 0.5000
Pd2 0.2500 0.2500 0.2448
```